Tb3Zn3Ir2: theoretical powder X-ray diffraction pattern (copper Kα), based on a structure optimized by DFT (PBE).

Cell and atoms:
```
Tb3Zn3Ir2
1.0
2.0384 -5.1199 0.0000
2.0384 5.1199 0.0000
0.0000 0.0000 15.8713
Tb Zn Ir
6 6 4
Cartesian
2.0384 4.3736 9.6050
2.0384 4.3736 14.2019
2.0384 1.5752 11.9034
2.0384 -1.5752 3.9678
2.0384 -4.3736 1.6694
2.0384 -4.3736 6.2662
2.0384 1.4167 8.4424
2.0384 1.4167 15.3645
2.0384 1.4013 3.9678
2.0384 -1.4013 11.9034
2.0384 -1.4167 0.5068
2.0384 -1.4167 7.4289
2.0384 2.8693 1.8359
2.0384 2.8693 6.0998
2.0384 -2.8693 9.7715
2.0384 -2.8693 14.0354
```

Top 10 peaks for 2θ from 10° to 90°, by intensity:
d (Å), I (rel.)
2.740, 100
2.346, 83
2.582, 54
2.038, 45
2.185, 39
2.527, 30
2.433, 28
5.120, 27
1.714, 27
1.377, 24

***

TbZn6Ir2: theoretical powder X-ray diffraction pattern (copper Kα), based on a structure optimized by DFT (PBE).

Cell and atoms:
```
TbZn6Ir2
1.0
-2.1955 2.8511 6.0100
2.1955 -2.8511 6.0100
2.1955 2.8511 -6.0100
Tb Zn Ir
1 6 2
Cartesian
0.0000 0.0000 0.0000
2.1955 1.4370 -2.4179
2.1955 1.6869 0.0000
2.1955 1.4370 2.4179
0.0000 1.4141 3.5921
0.0000 1.1642 6.0100
0.0000 1.4141 8.4278
2.1955 0.0000 4.6369
0.0000 2.8511 1.3730
```

Top 10 peaks for 2θ from 10° to 90°, by intensity:
d (Å), I (rel.)
2.345, 100
2.274, 69
2.196, 46
2.109, 32
3.278, 31
5.152, 25
4.124, 23
2.215, 21
2.576, 16
1.295, 15